Starting from a structure optimized by DFT (GGA-PBE), the powder XRD pattern of VGa was simulated for Cu Kα, 1.54184 Å.
No peak broadening, texture or thermal motion is included.

Structural model:
Cell: 2.7764 2.7764 4.3548 Å, 90.00 90.00 120.00°
Space group P-6m2 (No. 187)
Inequivalent atoms, fractional coordinates:
V 0.0000 0.0000 0.0000 (multiplicity 1)
Ga 0.3333 0.6667 0.5000 (multiplicity 1)

Top 9 peaks for 2θ = 10–80°, by angle:
d/Å  intensity
4.355  5
2.404  27
2.177  24
2.105  100
1.614  15
1.388  16
1.323  1
1.243  16
1.202  3

---

Starting from a structure optimized by DFT (GGA-PBE), the powder XRD pattern of Li2InPd was simulated for Cu Kα, 1.54184 Å.
No peak broadening, texture or thermal motion is included.

Structural model:
Cell: 6.4232 6.4232 6.4232 Å, 90.00 90.00 90.00°
Space group F-43m (No. 216)
Inequivalent atoms, fractional coordinates:
Li 0.0000 0.0000 0.0000 (multiplicity 4)
Li 0.2500 0.2500 0.2500 (multiplicity 4)
In 0.2500 0.2500 0.7500 (multiplicity 4)
Pd 0.0000 0.0000 0.5000 (multiplicity 4)

Top 7 peaks for 2θ = 10–80°, by angle:
d/Å  intensity
3.708  100
2.271  95
1.937  48
1.606  16
1.474  19
1.311  31
1.236  14

---

Starting from a structure optimized by DFT (GGA-PBE), the powder XRD pattern of Hf2MoPt was simulated for Cu Kα, 1.54184 Å.
No peak broadening, texture or thermal motion is included.

Structural model:
Cell: 6.6118 6.6118 6.6118 Å, 90.00 90.00 90.00°
Space group Fm-3m (No. 225)
Inequivalent atoms, fractional coordinates:
Hf 0.2500 0.2500 0.2500 (multiplicity 8)
Mo 0.0000 0.0000 0.0000 (multiplicity 4)
Pt 0.0000 0.0000 0.5000 (multiplicity 4)

Top 8 peaks for 2θ = 10–80°, by angle:
d/Å  intensity
3.817  5
3.306  1
2.338  100
1.994  3
1.653  17
1.517  1
1.350  35
1.272  1

---

Starting from a structure optimized by DFT (GGA-PBE), the powder XRD pattern of Sr2TaInO6 was simulated for Cu Kα, 1.54184 Å.
No peak broadening, texture or thermal motion is included.

Structural model:
Cell: 5.7892 5.8165 10.0330 Å, 90.00 125.11 90.00°
Space group P2_1/c (No. 14)
Inequivalent atoms, fractional coordinates:
Sr 0.2435 0.0275 0.2502 (multiplicity 4)
Ta 0.0000 0.0000 0.5000 (multiplicity 2)
In 0.5000 0.0000 0.0000 (multiplicity 2)
O 0.1633 0.2248 0.9618 (multiplicity 4)
O 0.2381 0.7039 0.9643 (multiplicity 4)
O 0.3086 0.0165 0.7386 (multiplicity 4)

Top 10 peaks for 2θ = 10–80°, by angle:
d/Å  intensity
4.739  6
4.103  17
2.903  100
2.895  20
2.052  33
1.677  29
1.672  22
1.450  6
1.299  10
1.297  10

---

Starting from a structure optimized by DFT (GGA-PBE), the powder XRD pattern of Pr3OsBr3 was simulated for Cu Kα, 1.54184 Å.
No peak broadening, texture or thermal motion is included.

Structural model:
Cell: 12.1882 12.1882 12.1882 Å, 90.00 90.00 90.00°
Space group I4_132 (No. 214)
Inequivalent atoms, fractional coordinates:
Pr 0.1090 0.3590 0.1250 (multiplicity 24)
Os 0.1250 0.1250 0.1250 (multiplicity 8)
Br 0.1201 0.1299 0.6250 (multiplicity 24)

Top 10 peaks for 2θ = 10–80°, by angle:
d/Å  intensity
8.618  66
3.854  11
3.047  100
2.873  9
2.390  15
2.155  71
1.759  24
1.524  11
1.363  27
1.244  19

---

Starting from a structure optimized by DFT (GGA-PBE), the powder XRD pattern of KPO3 was simulated for Cu Kα, 1.54184 Å.
No peak broadening, texture or thermal motion is included.

Structural model:
Cell: 16.2638 6.0980 4.1920 Å, 90.00 103.89 90.00°
Space group C2/m (No. 12)
Inequivalent atoms, fractional coordinates:
K 0.1285 0.0000 0.3127 (multiplicity 4)
P 0.1277 0.5000 0.7137 (multiplicity 4)
O 0.0930 0.2861 0.7955 (multiplicity 8)
O 0.1965 0.5000 0.5320 (multiplicity 4)

Top 10 peaks for 2θ = 10–80°, by angle:
d/Å  intensity
3.947  100
3.454  48
3.308  14
3.182  45
3.147  24
3.049  20
2.619  24
2.440  13
2.108  20
1.655  16

---

Starting from a structure optimized by DFT (GGA-PBE), the powder XRD pattern of Mg3Si4Sn2O14 was simulated for Cu Kα, 1.54184 Å.
No peak broadening, texture or thermal motion is included.

Structural model:
Cell: 17.2897 7.8168 10.2779 Å, 90.00 123.54 90.00°
Space group C2/c (No. 15)
Inequivalent atoms, fractional coordinates:
Mg 0.0000 0.1214 0.2500 (multiplicity 4)
Mg 0.1730 0.3875 0.3948 (multiplicity 8)
Si 0.1212 0.1028 0.1114 (multiplicity 8)
Si 0.1945 0.2402 0.7191 (multiplicity 8)
Sn 0.0000 0.2721 0.7500 (multiplicity 4)
Sn 0.0000 0.5000 0.0000 (multiplicity 4)
O 0.0556 0.0252 0.9385 (multiplicity 8)
O 0.0752 0.4911 0.9116 (multiplicity 8)
O 0.0755 0.2491 0.1725 (multiplicity 8)
O 0.1171 0.3823 0.7006 (multiplicity 8)
O 0.1643 0.0497 0.7477 (multiplicity 8)
O 0.2094 0.1983 0.1190 (multiplicity 8)
O 0.2120 0.2274 0.5795 (multiplicity 8)

Top 10 peaks for 2θ = 10–80°, by angle:
d/Å  intensity
7.205  100
6.871  48
4.639  29
4.092  29
3.269  35
3.135  38
2.929  40
2.887  67
2.825  58
2.390  57

---

Starting from a structure optimized by DFT (GGA-PBE), the powder XRD pattern of Bi4O5 was simulated for Cu Kα, 1.54184 Å.
No peak broadening, texture or thermal motion is included.

Structural model:
Cell: 10.6355 11.6369 5.5885 Å, 90.00 95.83 90.00°
Space group Cc (No. 9)
Inequivalent atoms, fractional coordinates:
Bi 0.0000 0.1017 0.0000 (multiplicity 4)
Bi 0.0116 0.3222 0.5085 (multiplicity 4)
Bi 0.2227 0.3969 0.0142 (multiplicity 4)
Bi 0.2795 0.1082 0.4932 (multiplicity 4)
O 0.1040 0.0457 0.6583 (multiplicity 4)
O 0.1148 0.4581 0.3378 (multiplicity 4)
O 0.1306 0.2101 0.2568 (multiplicity 4)
O 0.3494 0.0610 0.1448 (multiplicity 4)
O 0.3548 0.4676 0.7361 (multiplicity 4)

Top 10 peaks for 2θ = 10–80°, by angle:
d/Å  intensity
3.320  87
3.094  100
2.909  19
2.780  33
2.645  21
2.021  13
2.010  17
1.942  16
1.726  14
1.628  15